Entry 1:
This entry pairs a crystal structure of PrLu2Bi with its simulated X-ray diffraction stick pattern. Radiation: CuKα. Structure: a DFT-relaxed cell (GGA-PBE, Alexandria).

Structure:
```
data_PrLu2Bi
_symmetry_space_group_name_H-M 'P 4/m m m'
_symmetry_Int_Tables_number 123
_symmetry_space_group_name_Hall '-P 4 2'
_cell_length_a 4.8896
_cell_length_b 4.8896
_cell_length_c 4.8997
_cell_angle_alpha 90.00
_cell_angle_beta 90.00
_cell_angle_gamma 90.00
loop_
_atom_site_label
_atom_site_type_symbol
_atom_site_fract_x
_atom_site_fract_y
_atom_site_fract_z
Pr1 Pr 0.0000 0.0000 0.0000
Lu1 Lu 0.0000 0.5000 0.5000
Bi1 Bi 0.5000 0.5000 0.0000
```

Main lines, sorted by position (10° ≤ 2θ ≤ 90°):
Position (°2θ)	d_spacing	Rel. int.
31.67	2.825	100
36.74	2.446	51
52.93	1.730	36
62.94	1.477	14
63.04	1.475	28
66.16	1.412	12
86.75	1.123	18
89.65	1.094	12

=====

Entry 2:
This entry pairs a crystal structure of Lu2ThBi with its simulated X-ray diffraction stick pattern. Radiation: CuKα. Structure: a DFT-relaxed cell (GGA-PBE, Alexandria).

Structure:
```
data_Lu2ThBi
_symmetry_space_group_name_H-M 'R -3 m'
_symmetry_Int_Tables_number 166
_symmetry_space_group_name_Hall '-R 3 2"'
_cell_length_a 3.5798
_cell_length_b 3.5798
_cell_length_c 32.2429
_cell_angle_alpha 90.00
_cell_angle_beta 90.00
_cell_angle_gamma 120.00
loop_
_atom_site_label
_atom_site_type_symbol
_atom_site_fract_x
_atom_site_fract_y
_atom_site_fract_z
Lu1 Lu 0.0000 0.0000 0.2469
Th1 Th 0.0000 0.0000 0.0000
Bi1 Bi 0.0000 0.0000 0.5000
```

Main lines, sorted by position (10° ≤ 2θ ≤ 90°):
Position (°2θ)	d_spacing	Rel. int.
30.90	2.894	100
33.35	2.687	27
36.57	2.457	64
51.03	1.790	26
54.29	1.690	20
60.86	1.522	15
62.33	1.490	28
83.34	1.160	13

=====

Entry 3:
This entry pairs a crystal structure of MgBi with its simulated X-ray diffraction stick pattern. Radiation: CuKα. Structure: a DFT-relaxed cell (GGA-PBE, Alexandria).

Structure:
```
data_MgBi
_symmetry_space_group_name_H-M 'C 1 2 1'
_symmetry_Int_Tables_number 5
_cell_length_a 9.9242
_cell_length_b 7.6553
_cell_length_c 4.9670
_cell_angle_alpha 90.00
_cell_angle_beta 104.65
_cell_angle_gamma 90.00
loop_
_symmetry_equiv_pos_as_xyz
'x,y,z'
'-x,y,-z'
'x+1/2,y+1/2,z'
'-x+1/2,y+1/2,-z'
loop_
_atom_site_label
_atom_site_type_symbol
_atom_site_fract_x
_atom_site_fract_y
_atom_site_fract_z
Mg1 Mg 0.0000 0.0000 0.0000
Mg2 Mg 0.2181 0.8714 0.5647
Bi1 Bi 0.0000 0.2062 0.5000
Bi2 Bi 0.1649 0.6573 0.0374
```

Main lines, sorted by position (10° ≤ 2θ ≤ 90°):
Position (°2θ)	d_spacing	Rel. int.
21.82	4.074	100
23.24	3.828	57
25.54	3.488	33
30.27	2.953	84
37.42	2.403	42
37.84	2.378	31
42.62	2.121	33
44.51	2.035	41

=====

Entry 4:
This entry pairs a crystal structure of MgBi with its simulated X-ray diffraction stick pattern. Radiation: CuKα. Structure: a DFT-relaxed cell (GGA-PBE, Alexandria).

Structure:
```
data_MgBi
_symmetry_space_group_name_H-M 'A m m 2'
_symmetry_Int_Tables_number 38
_cell_length_a 4.9971
_cell_length_b 4.5452
_cell_length_c 14.5953
_cell_angle_alpha 90.00
_cell_angle_beta 90.00
_cell_angle_gamma 90.00
loop_
_symmetry_equiv_pos_as_xyz
'x,y,z'
'-x,-y,z'
'-x,y,z'
'x,-y,z'
'x,y+1/2,z+1/2'
'-x,-y+1/2,z+1/2'
'-x,y+1/2,z+1/2'
'x,-y+1/2,z+1/2'
loop_
_atom_site_label
_atom_site_type_symbol
_atom_site_fract_x
_atom_site_fract_y
_atom_site_fract_z
Mg1 Mg 0.0000 0.0000 0.0000
Mg2 Mg 0.0000 0.0000 0.3250
Mg3 Mg 0.5000 0.0000 0.8133
Bi1 Bi 0.0000 0.0000 0.6743
Bi2 Bi 0.5000 0.0000 0.1543
Bi3 Bi 0.5000 0.0000 0.4534
```

Main lines, sorted by position (10° ≤ 2θ ≤ 90°):
Position (°2θ)	d_spacing	Rel. int.
12.13	7.298	25
24.39	3.649	29
27.22	3.277	50
32.37	2.766	100
35.94	2.499	22
39.66	2.273	17
51.58	1.772	18
62.37	1.489	16

=====

Entry 5:
This entry pairs a crystal structure of MgBi with its simulated X-ray diffraction stick pattern. Radiation: CuKα. Structure: a DFT-relaxed cell (GGA-PBE, Alexandria).

Structure:
```
data_MgBi
_symmetry_space_group_name_H-M 'P 1 21/m 1'
_symmetry_Int_Tables_number 11
_cell_length_a 4.6294
_cell_length_b 4.2388
_cell_length_c 6.1486
_cell_angle_alpha 90.00
_cell_angle_beta 111.88
_cell_angle_gamma 90.00
loop_
_symmetry_equiv_pos_as_xyz
'x,y,z'
'-x,-y,-z'
'-x,y+1/2,-z'
'x,-y+1/2,z'
loop_
_atom_site_label
_atom_site_type_symbol
_atom_site_fract_x
_atom_site_fract_y
_atom_site_fract_z
Mg1 Mg 0.0002 0.2500 0.2493
Bi1 Bi 0.4996 0.2500 0.7498
```

Main lines, sorted by position (10° ≤ 2θ ≤ 90°):
Position (°2θ)	d_spacing	Rel. int.
20.68	4.296	71
26.19	3.403	81
29.65	3.013	100
30.48	2.933	28
31.36	2.853	43
37.18	2.418	55
49.51	1.841	25
61.51	1.508	26

=====

Entry 6:
This entry pairs a crystal structure of MgBi with its simulated X-ray diffraction stick pattern. Radiation: CuKα. Structure: a DFT-relaxed cell (GGA-PBE, Alexandria).

Structure:
```
data_MgBi
_symmetry_space_group_name_H-M 'P 21 21 21'
_symmetry_Int_Tables_number 19
_cell_length_a 5.1286
_cell_length_b 8.1315
_cell_length_c 11.8071
_cell_angle_alpha 90.00
_cell_angle_beta 90.00
_cell_angle_gamma 90.00
loop_
_symmetry_equiv_pos_as_xyz
'x,y,z'
'-x+1/2,-y,z+1/2'
'x+1/2,-y+1/2,-z'
'-x,y+1/2,-z+1/2'
loop_
_atom_site_label
_atom_site_type_symbol
_atom_site_fract_x
_atom_site_fract_y
_atom_site_fract_z
Mg1 Mg 0.0738 0.1549 0.0579
Mg2 Mg 0.1365 0.2871 0.3274
Bi1 Bi 0.0891 0.5187 0.0124
Bi2 Bi 0.1605 0.0348 0.7427
```

Main lines, sorted by position (10° ≤ 2θ ≤ 90°):
Position (°2θ)	d_spacing	Rel. int.
21.85	4.069	100
25.48	3.496	87
30.28	2.952	30
30.67	2.915	19
37.56	2.395	18
37.66	2.389	32
38.31	2.349	30
40.63	2.220	23